[1]
Structure and simulated powder diffraction line list of BaZnAgF7 (a crystal structure in Alexandria, relaxed with GGA-PBE; λ = 1.5418 Å (Cu Kα)).
Kinematic intensities with the Lorentz-polarization factor, no thermal factor.

Peak list (10 most intense, 10 to 90 degrees two-theta, low angle first)
two_theta  intensity  index
24.60  1000  1 2 -1
25.81  544  1 1 2
28.43  319  0 1 3
30.36  196  1 3 0
30.91  223  2 0 0
37.90  176  0 3 3
39.37  161  2 2 -2
39.69  229  1 4 1
50.97  246  3 2 -1
52.79  200  1 2 5

Cell: 5.7947 10.2590 9.9065 Å, 90.00 93.03 90.00°
Space group P2_1/c (No. 14)
Symmetry-distinct sites (fractional):
Ba1 0.2333 0.1770 0.0036 (multiplicity 4)
Zn1 0.1908 0.6050 0.8072 (multiplicity 4)
Ag1 0.3056 0.6096 0.1843 (multiplicity 4)
F1 0.0098 0.7161 0.2461 (multiplicity 4)
F2 0.0992 0.5386 0.6279 (multiplicity 4)
F3 0.1307 0.0637 0.6231 (multiplicity 4)
F4 0.2397 0.6984 0.9900 (multiplicity 4)
F5 0.3666 0.0519 0.3794 (multiplicity 4)
F6 0.4011 0.5391 0.3771 (multiplicity 4)
F7 0.4781 0.7141 0.7471 (multiplicity 4)

[2]
Structure and simulated powder diffraction line list of Ba2FeAg (a crystal structure in Alexandria, relaxed with GGA-PBE; λ = 1.5418 Å (Cu Kα)).
Kinematic intensities with the Lorentz-polarization factor, no thermal factor.

Peak list (10 most intense, 10 to 90 degrees two-theta, low angle first)
two_theta  intensity  index
19.04  33  1 1 1
22.02  51  2 0 0
31.34  1000  2 2 0
36.93  19  3 1 1
44.91  180  4 0 0
50.56  24  4 2 0
55.79  373  4 2 2
65.40  115  4 4 0
74.31  158  6 2 0
82.85  40  4 4 4

Cell: 8.0727 8.0727 8.0727 Å, 90.00 90.00 90.00°
Space group Fm-3m (No. 225)
Symmetry-distinct sites (fractional):
Ba1 0.2500 0.2500 0.2500 (multiplicity 8)
Fe1 0.0000 0.0000 0.0000 (multiplicity 4)
Ag1 0.0000 0.0000 0.5000 (multiplicity 4)

[3]
Structure and simulated powder diffraction line list of Ba4GaAg (a crystal structure in Alexandria, relaxed with GGA-PBE; λ = 1.5418 Å (Cu Kα)).
Kinematic intensities with the Lorentz-polarization factor, no thermal factor.

Peak list (10 most intense, 10 to 90 degrees two-theta, low angle first)
two_theta  intensity  index
11.68  162  0 0 2
22.07  170  1 0 1
27.71  1000  1 0 3
30.26  610  1 1 0
36.63  399  1 0 5
38.65  141  1 1 4
43.32  225  2 0 0
52.21  336  2 1 3
57.82  186  1 1 8
57.99  205  2 1 5

Cell: 4.1772 4.1772 15.1548 Å, 90.00 90.00 90.00°
Space group P4/mmm (No. 123)
Symmetry-distinct sites (fractional):
Ba1 0.0000 0.0000 0.1260 (multiplicity 2)
Ba2 0.5000 0.5000 0.3710 (multiplicity 2)
Ga1 0.5000 0.5000 0.0000 (multiplicity 1)
Ag1 0.0000 0.0000 0.5000 (multiplicity 1)

[4]
Structure and simulated powder diffraction line list of BaGa3Ag3 (a crystal structure in Alexandria, relaxed with GGA-PBE; λ = 1.5418 Å (Cu Kα)).
Kinematic intensities with the Lorentz-polarization factor, no thermal factor.

Peak list (10 most intense, 10 to 90 degrees two-theta, low angle first)
two_theta  intensity  index
11.34  461  0 0 3
27.98  820  2 -1 3
30.53  678  1 0 7
33.33  332  0 2 4
34.02  168  0 1 8
34.45  642  2 -1 6
39.58  1000  2 1 1
40.17  621  3 -2 2
43.36  404  1 1 9
57.83  180  3 0 9

Cell: 6.9887 6.9887 23.4177 Å, 90.00 90.00 120.00°
Space group R-3 (No. 148, hexagonal axes)
Symmetry-distinct sites (fractional):
Ba1 0.0000 0.0000 0.1598 (multiplicity 6)
Ga1 0.0135 0.2248 0.5854 (multiplicity 18)
Ag1 0.0537 0.4546 0.3697 (multiplicity 18)

Please write out number 4 again, unchanged.
Structure and simulated powder diffraction line list of BaGa3Ag3 (a crystal structure in Alexandria, relaxed with GGA-PBE; λ = 1.5418 Å (Cu Kα)).
Kinematic intensities with the Lorentz-polarization factor, no thermal factor.

Peak list (10 most intense, 10 to 90 degrees two-theta, low angle first)
two_theta  intensity  index
11.34  461  0 0 3
27.98  820  2 -1 3
30.53  678  1 0 7
33.33  332  0 2 4
34.02  168  0 1 8
34.45  642  2 -1 6
39.58  1000  2 1 1
40.17  621  3 -2 2
43.36  404  1 1 9
57.83  180  3 0 9

Cell: 6.9887 6.9887 23.4177 Å, 90.00 90.00 120.00°
Space group R-3 (No. 148, hexagonal axes)
Symmetry-distinct sites (fractional):
Ba1 0.0000 0.0000 0.1598 (multiplicity 6)
Ga1 0.0135 0.2248 0.5854 (multiplicity 18)
Ag1 0.0537 0.4546 0.3697 (multiplicity 18)